Computed powder X-ray diffraction pattern of CaPr2BeO5 for Cu Kα, 1.54184 Å, from the PBE geometry in Alexandria.
Intensities are scaled so that the largest is 100.

Peak list (8 most intense, 2θ from 10° to 90°, sorted by position)
two_theta, I (rel.), hkl
20.46, 53, 1 1 1
22.24, 36, 2 0 1
29.63, 100, 1 1 2
30.92, 70, 2 0 2
31.15, 99, 3 1 0
31.32, 64, 1 2 1
38.13, 40, 1 2 2
40.07, 35, 4 1 0

Atomic structure:
```
36
Lattice="9.576 0.000 0.000 0.000 6.568 0.000 0.000 0.000 7.258" Properties=species:S:1:pos:R:3 pbc="T T T"
Ca 1.705 0.511 0.000
Ca 3.083 3.795 3.629
Ca 6.493 2.773 0.000
Ca 7.872 6.057 3.629
Pr 0.224 3.927 5.560
Pr 1.637 0.477 3.975
Pr 3.151 3.761 0.346
Pr 4.564 0.642 1.931
Pr 5.013 5.926 5.560
Pr 6.425 2.808 3.975
Pr 7.939 6.092 0.346
Pr 9.352 2.642 1.931
Be 1.001 5.299 1.947
Be 3.787 2.015 5.576
Be 5.789 4.554 1.947
Be 8.575 1.270 5.576
O 0.123 0.122 1.964
O 0.681 4.522 0.568
O 0.721 4.554 3.348
O 2.137 2.362 5.582
O 2.173 2.187 1.950
O 2.616 5.471 5.580
O 2.652 5.646 1.953
O 4.067 1.270 6.978
O 4.107 1.238 4.197
O 4.666 3.407 5.593
O 4.911 3.162 1.964
O 5.469 5.330 0.568
O 5.509 5.298 3.348
O 6.925 0.922 5.582
O 6.961 1.098 1.950
O 7.404 4.382 5.580
O 7.440 4.207 1.953
O 8.855 2.014 6.978
O 8.895 2.046 4.197
O 9.454 6.446 5.593
```